The following is a theoretical X-ray powder pattern of CsAl3P6O20. It was derived from the PBE geometry in Alexandria, using CuKα.
Neutral-atom scattering factors, no anomalous dispersion.

Structure:
```
data_CsAl3P6O20
_chemical_formula_sum 'Cs4 Al12 P24 O80'
_symmetry_space_group_name_H-M 'A e a 2'
_symmetry_Int_Tables_number 41
_symmetry_space_group_name_Hall 'A 2 -2ab'
_cell_length_a 12.326
_cell_length_b 13.530
_cell_length_c 10.173
_cell_angle_alpha 90.00
_cell_angle_beta 90.00
_cell_angle_gamma 90.00
loop_
_atom_site_label
_atom_site_fract_x
_atom_site_fract_y
_atom_site_fract_z
_atom_site_occupancy
Cs1 0.000 0.000 0.000 1
Al1 0.000 0.000 0.381 1
Al2 0.222 0.227 0.548 1
P1 0.042 0.314 0.066 1
P2 0.195 0.366 0.271 1
P3 0.220 0.076 0.300 1
O1 0.052 0.406 0.979 1
O2 0.071 0.226 0.574 1
O3 0.073 0.352 0.215 1
O4 0.105 0.034 0.271 1
O5 0.125 0.236 0.028 1
O6 0.197 0.483 0.297 1
O7 0.200 0.316 0.402 1
O8 0.224 0.114 0.439 1
O9 0.224 0.340 0.664 1
O10 0.242 0.144 0.695 1
```

Peak list (10 most intense, 2θ = 15–90°, by angle)
| d_spacing | 2θ/deg | intensity | hkl |
| --- | --- | --- | --- |
| 4.912 | 18.1 | 13 | 2 1 1 |
| 4.556 | 19.5 | 18 | 2 2 0 |
| 4.065 | 21.9 | 25 | 0 2 2 |
| 3.916 | 22.7 | 100 | 2 0 2 |
| 3.393 | 26.3 | 29 | 2 2 2 |
| 3.082 | 29.0 | 17 | 4 0 0 |
| 2.965 | 30.1 | 15 | 2 4 0 |
| 2.909 | 30.7 | 19 | 3 3 1 |
| 2.817 | 31.8 | 17 | 0 4 2 |
| 2.647 | 33.9 | 13 | 1 3 3 |